1.
Diffraction record for Ca2CdHg4. The X-ray powder pattern is simulated, not measured: it uses a DFT-relaxed cell (GGA-PBE, Alexandria) and λ = 1.5418 Å (Cu Kα).

Lattice parameters (Å, degrees): 5.1743 5.1743 24.8919 90.00 90.00 120.00
Space group R-3m (No. 166, hexagonal axes)
One atom of each set of equivalent atoms:
Ca 0.0000 0.0000 0.2457
Cd 0.0000 0.0000 0.5000
Hg 0.0000 0.0000 0.1194
Hg 0.0000 0.0000 0.3709

Most intense lines, 10 to 80 degrees two-theta, in order of rising 2θ:
Position (°2θ)  d [Å]  Rel. int.
24.48  3.636  83
34.67  2.587  100
35.11  2.556  92
42.90  2.108  20
50.18  1.818  33
62.43  1.488  35

=====

2.
Diffraction record for Ca3CdHg7. The X-ray powder pattern is simulated, not measured: it uses a DFT-relaxed cell (GGA-PBE, Alexandria) and λ = 1.5418 Å (Cu Kα).

Lattice parameters (Å, degrees): 3.962 20.932 14.578 90.00 90.00 90.00
Space group Cmcm (No. 63)
One atom of each set of equivalent atoms:
Ca 0.000 0.089 0.066
Ca 0.000 0.268 0.750
Cd 0.000 0.047 0.750
Hg 0.000 0.294 0.547
Hg 0.000 0.333 0.147
Hg 0.000 0.418 0.750
Hg 0.000 0.469 0.097

Most intense lines, 10 to 80 degrees two-theta, in order of rising 2θ:
Position (°2θ)  d [Å]  Rel. int.
22.84  3.893  66
31.08  2.878  36
31.85  2.810  100
33.48  2.677  33
34.84  2.575  39
38.58  2.334  53

=====

3.
Diffraction record for CaCd2Hg9. The X-ray powder pattern is simulated, not measured: it uses a DFT-relaxed cell (GGA-PBE, Alexandria) and λ = 1.5418 Å (Cu Kα).

Lattice parameters (Å, degrees): 5.228 5.228 11.222 90.00 90.00 90.00
Space group P4/mmm (No. 123)
One atom of each set of equivalent atoms:
Ca 0.000 0.000 0.000
Cd 0.000 0.000 0.337
Hg 0.000 0.500 0.176
Hg 0.000 0.500 0.500
Hg 0.500 0.500 0.000
Hg 0.500 0.500 0.338

Most intense lines, 10 to 80 degrees two-theta, in order of rising 2θ:
Position (°2θ)  d [Å]  Rel. int.
34.10  2.629  100
34.31  2.614  50
49.30  1.848  18
60.91  1.521  18
61.30  1.512  37
71.80  1.315  11

=====

4.
Diffraction record for CaCd12Hg16. The X-ray powder pattern is simulated, not measured: it uses a DFT-relaxed cell (GGA-PBE, Alexandria) and λ = 1.5418 Å (Cu Kα).

Lattice parameters (Å, degrees): 12.353 15.453 9.120 90.00 123.02 90.00
Space group Cm (No. 8)
One atom of each set of equivalent atoms:
Ca 0.000 0.000 0.000
Cd 0.013 0.098 0.667
Cd 0.027 0.500 0.506
Cd 0.086 0.396 0.058
Cd 0.106 0.209 0.480
Cd 0.200 0.500 0.899
Cd 0.256 0.097 0.359
Cd 0.305 0.179 0.857
Hg 0.008 0.322 0.692
Hg 0.029 0.000 0.383
Hg 0.099 0.196 0.009
Hg 0.235 0.500 0.400
Hg 0.259 0.000 0.993
Hg 0.280 0.366 0.710
Hg 0.287 0.292 0.379
Hg 0.349 0.000 0.720
Hg 0.373 0.343 0.118
Hg 0.450 0.144 0.248

Most intense lines, 10 to 80 degrees two-theta, in order of rising 2θ:
Position (°2θ)  d [Å]  Rel. int.
31.19  2.868  61
33.27  2.693  64
34.13  2.627  100
34.94  2.568  61
35.33  2.541  57
37.96  2.370  58

=====

5.
Diffraction record for Ca6CdHg. The X-ray powder pattern is simulated, not measured: it uses a DFT-relaxed cell (GGA-PBE, Alexandria) and λ = 1.5418 Å (Cu Kα).

Lattice parameters (Å, degrees): 5.443 5.443 18.847 90.00 90.00 90.00
Space group I4/mmm (No. 139)
One atom of each set of equivalent atoms:
Ca 0.000 0.000 0.249
Ca 0.000 0.500 0.098
Cd 0.000 0.000 0.000
Hg 0.000 0.000 0.500

Most intense lines, 10 to 80 degrees two-theta, in order of rising 2θ:
Position (°2θ)  d [Å]  Rel. int.
29.98  2.981  100
32.91  2.722  44
36.94  2.434  28
38.19  2.356  22
51.29  1.781  20
56.95  1.617  30

=====

6.
Diffraction record for CaCd6Hg12. The X-ray powder pattern is simulated, not measured: it uses a DFT-relaxed cell (GGA-PBE, Alexandria) and λ = 1.5418 Å (Cu Kα).

Lattice parameters (Å, degrees): 8.054 8.352 8.631 109.27 106.50 107.51
Space group P-1 (No. 2)
One atom of each set of equivalent atoms:
Ca 0.000 0.000 0.000
Cd 0.058 0.489 0.695
Cd 0.356 0.307 0.790
Cd 0.428 0.784 0.472
Hg 0.105 0.930 0.362
Hg 0.168 0.433 0.063
Hg 0.211 0.890 0.728
Hg 0.255 0.361 0.431
Hg 0.327 0.849 0.112
Hg 0.473 0.271 0.160

Most intense lines, 10 to 80 degrees two-theta, in order of rising 2θ:
Position (°2θ)  d [Å]  Rel. int.
32.97  2.717  100
33.09  2.707  100
33.41  2.682  97
34.63  2.590  88
37.36  2.407  73
39.57  2.278  61

=====

7.
Diffraction record for Ca3Cd4Hg4. The X-ray powder pattern is simulated, not measured: it uses a DFT-relaxed cell (GGA-PBE, Alexandria) and λ = 1.5418 Å (Cu Kα).

Lattice parameters (Å, degrees): 3.620 4.917 15.998 98.77 96.41 90.04
Space group P-1 (No. 2)
One atom of each set of equivalent atoms:
Ca 0.000 0.000 0.000
Ca 0.139 0.640 0.281
Cd 0.262 0.265 0.528
Cd 0.412 0.908 0.815
Hg 0.317 0.818 0.633
Hg 0.456 0.453 0.907

Most intense lines, 10 to 80 degrees two-theta, in order of rising 2θ:
Position (°2θ)  d [Å]  Rel. int.
19.95  4.451  59
24.76  3.596  65
32.77  2.733  71
36.37  2.470  100
36.55  2.459  53
42.29  2.137  52

=====

8.
Diffraction record for CaCd5Hg11. The X-ray powder pattern is simulated, not measured: it uses a DFT-relaxed cell (GGA-PBE, Alexandria) and λ = 1.5418 Å (Cu Kα).

Lattice parameters (Å, degrees): 10.754 12.523 6.658 90.00 98.98 90.00
Space group C2/m (No. 12)
One atom of each set of equivalent atoms:
Ca 0.000 0.000 0.000
Cd 0.000 0.500 0.000
Cd 0.189 0.159 0.666
Hg 0.000 0.000 0.500
Hg 0.041 0.267 0.244
Hg 0.128 0.500 0.448
Hg 0.234 0.378 0.865

Most intense lines, 10 to 80 degrees two-theta, in order of rising 2θ:
Position (°2θ)  d [Å]  Rel. int.
30.53  2.928  27
30.71  2.911  63
33.21  2.698  100
34.39  2.608  51
34.94  2.568  27
37.21  2.416  29

=====

9.
Diffraction record for Ca3CdHg4. The X-ray powder pattern is simulated, not measured: it uses a DFT-relaxed cell (GGA-PBE, Alexandria) and λ = 1.5418 Å (Cu Kα).

Lattice parameters (Å, degrees): 10.342 7.782 5.171 90.00 90.00 90.00
Space group Pmma (No. 51)
One atom of each set of equivalent atoms:
Ca 0.000 0.000 0.000
Ca 0.250 0.000 0.499
Ca 0.250 0.500 0.499
Cd 0.000 0.500 0.000
Hg 0.000 0.251 0.500
Hg 0.250 0.251 0.999

Most intense lines, 10 to 80 degrees two-theta, in order of rising 2θ:
Position (°2θ)  d [Å]  Rel. int.
22.86  3.891  18
24.34  3.656  31
33.64  2.664  100
34.70  2.585  46
59.46  1.554  19
61.51  1.507  35

=====

10.
Diffraction record for CaCd6Hg5. The X-ray powder pattern is simulated, not measured: it uses a DFT-relaxed cell (GGA-PBE, Alexandria) and λ = 1.5418 Å (Cu Kα).

Lattice parameters (Å, degrees): 12.267 9.918 5.385 90.00 115.50 90.00
Space group C2/m (No. 12)
One atom of each set of equivalent atoms:
Ca 0.000 0.000 0.000
Cd 0.244 0.000 0.745
Cd 0.245 0.332 0.746
Hg 0.000 0.171 0.500
Hg 0.000 0.331 0.000
Hg 0.000 0.500 0.500

Most intense lines, 10 to 80 degrees two-theta, in order of rising 2θ:
Position (°2θ)  d [Å]  Rel. int.
32.34  2.768  65
33.27  2.693  61
35.68  2.516  100
35.83  2.506  99
46.85  1.939  23
47.32  1.921  23

=====

11.
Diffraction record for Ca2Cd3Hg6. The X-ray powder pattern is simulated, not measured: it uses a DFT-relaxed cell (GGA-PBE, Alexandria) and λ = 1.5418 Å (Cu Kα).

Lattice parameters (Å, degrees): 10.157 15.733 3.629 90.00 90.00 90.00
Space group Cmmm (No. 65)
One atom of each set of equivalent atoms:
Ca 0.205 0.000 0.000
Cd 0.000 0.260 0.000
Cd 0.000 0.500 0.500
Hg 0.000 0.109 0.500
Hg 0.199 0.345 0.500

Most intense lines, 10 to 80 degrees two-theta, in order of rising 2θ:
Position (°2θ)  d [Å]  Rel. int.
24.53  3.629  83
31.45  2.844  85
32.39  2.764  91
33.60  2.667  100
38.64  2.330  50
40.28  2.239  80

=====

12.
Diffraction record for Ca2Cd3Hg. The X-ray powder pattern is simulated, not measured: it uses a DFT-relaxed cell (GGA-PBE, Alexandria) and λ = 1.5418 Å (Cu Kα).

Lattice parameters (Å, degrees): 7.294 10.022 17.276 90.00 90.00 90.00
Space group Fmmm (No. 69)
One atom of each set of equivalent atoms:
Ca 0.248 0.000 0.000
Ca 0.250 0.250 0.250
Cd 0.000 0.000 0.334
Cd 0.000 0.249 0.417
Hg 0.000 0.000 0.166

Most intense lines, 10 to 80 degrees two-theta, in order of rising 2θ:
Position (°2θ)  d [Å]  Rel. int.
20.52  4.329  40
24.41  3.647  55
32.09  2.789  100
35.97  2.497  76
43.95  2.060  47
63.11  1.473  42